# 1
This entry pairs a crystal structure of CeTm3Th3 with its calculated powder X-ray diffraction pattern. Radiation: Cu Ka. Structure: a DFT-relaxed cell (GGA-PBE, Alexandria).

Structure:
Lattice parameters (Å, degrees): 8.711 8.711 8.711 59.74 59.74 59.74
Fractional positions:
1 Ce 0.139 0.139 0.139
2 Ce 0.861 0.861 0.861
3 Tm 0.067 0.243 0.552
4 Tm 0.243 0.552 0.067
5 Tm 0.448 0.933 0.757
6 Tm 0.552 0.067 0.243
7 Tm 0.757 0.448 0.933
8 Tm 0.933 0.757 0.448
9 Th 0.208 0.425 0.706
10 Th 0.294 0.792 0.575
11 Th 0.425 0.706 0.208
12 Th 0.575 0.294 0.792
13 Th 0.706 0.208 0.425
14 Th 0.792 0.575 0.294

Main lines, in order of rising 2θ (2θ from 15° to 90°):
2theta, Rel. int.
31.6, 351
31.8, 991
32.5, 1000
32.6, 381
38.0, 360
57.6, 380

***

# 2
This entry pairs a crystal structure of CeTm6Th2 with its calculated powder X-ray diffraction pattern. Radiation: Cu Ka. Structure: a DFT-relaxed cell (GGA-PBE, Alexandria).

Structure:
Lattice parameters (Å, degrees): 12.805 12.805 3.489 97.70 97.70 83.36
Fractional positions:
1 Ce 0.250 0.750 0.750
2 Ce 0.750 0.250 0.250
3 Tm 0.004 0.171 0.838
4 Tm 0.084 0.584 0.084
5 Tm 0.171 0.004 0.338
6 Tm 0.329 0.496 0.157
7 Tm 0.416 0.916 0.416
8 Tm 0.496 0.329 0.657
9 Tm 0.504 0.671 0.343
10 Tm 0.584 0.084 0.584
11 Tm 0.671 0.504 0.843
12 Tm 0.829 0.996 0.662
13 Tm 0.916 0.416 0.916
14 Tm 0.996 0.829 0.162
15 Th 0.160 0.340 0.499
16 Th 0.340 0.160 0.999
17 Th 0.660 0.840 0.001
18 Th 0.840 0.660 0.501

Main lines, in order of rising 2θ (2θ from 15° to 90°):
2theta, Rel. int.
30.4, 316
31.6, 1000
32.4, 298
35.6, 250
35.7, 115
56.2, 122